[1]
For Tc2NiPt, a structure optimized by DFT (PBE) gives the computed powder XRD pattern in this record (Cu Kα (weighted mean of Kα1 and Kα2)).
Kinematic intensities with the Lorentz-polarization factor, no thermal factor.

The 10 most intense peaks (2θ from 10° to 90°), sorted by position:
20.08°, d = 4.423 Å, I = 23, (2 0 0); 40.54°, d = 2.225 Å, I = 51, (2 0 -2); 40.80°, d = 2.212 Å, I = 51, (4 0 0); 41.04°, d = 2.199 Å, I = 100, (1 1 1); 46.52°, d = 1.952 Å, I = 34, (2 0 2); 48.04°, d = 1.894 Å, I = 63, (3 1 -1); 68.91°, d = 1.363 Å, I = 21, (1 1 -3); 69.28°, d = 1.356 Å, I = 21, (5 1 1); 82.51°, d = 1.169 Å, I = 19, (6 0 2); 84.91°, d = 1.142 Å, I = 13, (2 2 -2)

Crystal structure
```
data_Tc2NiPt
_symmetry_space_group_name_H-M 'C 1 m 1'
_symmetry_Int_Tables_number 8
_cell_length_a 8.957
_cell_length_b 2.662
_cell_length_c 4.760
_cell_angle_alpha 90.00
_cell_angle_beta 99.04
_cell_angle_gamma 90.00
loop_
_symmetry_equiv_pos_as_xyz
'x,y,z'
'x,-y,z'
'x+1/2,y+1/2,z'
'x+1/2,-y+1/2,z'
loop_
_atom_site_label
_atom_site_type_symbol
_atom_site_fract_x
_atom_site_fract_y
_atom_site_fract_z
_atom_site_occupancy
Tc1 Tc 0.000 0.000 0.000 1
Tc2 Tc 0.241 0.000 0.763 1
Ni1 Ni 0.499 0.000 0.516 1
Pt1 Pt 0.247 0.500 0.273 1
```

---

[2]
For TcNi4Pt7, a structure optimized by DFT (PBE) gives the computed powder XRD pattern in this record (Cu Kα (weighted mean of Kα1 and Kα2)).
Kinematic intensities with the Lorentz-polarization factor, no thermal factor.

The 10 most intense peaks (2θ from 10° to 90°), sorted by position:
23.38°, d = 3.804 Å, I = 21, (0 0 2); 27.76°, d = 3.214 Å, I = 86, (1 1 -2); 35.23°, d = 2.547 Å, I = 49, (4 0 -1); 37.01°, d = 2.429 Å, I = 49, (4 0 -3); 38.64°, d = 2.330 Å, I = 89, (0 2 0); 42.48°, d = 2.128 Å, I = 100, (3 1 1); 47.54°, d = 1.912 Å, I = 49, (1 1 -4); 48.24°, d = 1.886 Å, I = 29, (5 1 -3); 53.28°, d = 1.719 Å, I = 31, (4 2 -1); 54.58°, d = 1.681 Å, I = 33, (4 2 -3)

Crystal structure
```
data_TcNi4Pt7
_symmetry_space_group_name_H-M 'C 1 2/m 1'
_symmetry_Int_Tables_number 12
_cell_length_a 10.552
_cell_length_b 4.660
_cell_length_c 8.937
_cell_angle_alpha 90.00
_cell_angle_beta 121.63
_cell_angle_gamma 90.00
loop_
_symmetry_equiv_pos_as_xyz
'x,y,z'
'-x,-y,-z'
'-x,y,-z'
'x,-y,z'
'x+1/2,y+1/2,z'
'-x+1/2,-y+1/2,-z'
'-x+1/2,y+1/2,-z'
'x+1/2,-y+1/2,z'
loop_
_atom_site_label
_atom_site_type_symbol
_atom_site_fract_x
_atom_site_fract_y
_atom_site_fract_z
_atom_site_occupancy
Tc1 Tc 0.000 0.000 0.000 1
Ni1 Ni 0.069 0.500 0.771 1
Ni2 Ni 0.221 0.500 0.324 1
Pt1 Pt 0.000 0.500 0.000 1
Pt2 Pt 0.070 0.000 0.347 1
Pt3 Pt 0.143 0.500 0.552 1
Pt4 Pt 0.210 0.000 0.914 1
```

---

[3]
For TcNi4Pt2, a structure optimized by DFT (PBE) gives the computed powder XRD pattern in this record (Cu Kα (weighted mean of Kα1 and Kα2)).
Kinematic intensities with the Lorentz-polarization factor, no thermal factor.

The 10 most intense peaks (2θ from 10° to 90°), sorted by position:
28.10°, d = 3.175 Å, I = 67, (1 1 1); 29.97°, d = 2.981 Å, I = 84, (2 1 0); 36.69°, d = 2.449 Å, I = 41, (2 1 1); 38.18°, d = 2.357 Å, I = 30, (2 2 0); 42.06°, d = 2.148 Å, I = 70, (0 0 2); 43.81°, d = 2.066 Å, I = 80, (2 2 1); 45.98°, d = 1.974 Å, I = 100, (3 0 1); 48.08°, d = 1.893 Å, I = 59, (3 1 1); 52.51°, d = 1.743 Å, I = 36, (2 1 2); 80.79°, d = 1.190 Å, I = 25, (5 2 1)

Crystal structure
```
data_TcNi4Pt2
_symmetry_space_group_name_H-M 'P 42/m n m'
_symmetry_Int_Tables_number 136
_symmetry_space_group_name_Hall '-P 4n 2n'
_cell_length_a 6.667
_cell_length_b 6.667
_cell_length_c 4.296
_cell_angle_alpha 90.00
_cell_angle_beta 90.00
_cell_angle_gamma 90.00
loop_
_atom_site_label
_atom_site_type_symbol
_atom_site_fract_x
_atom_site_fract_y
_atom_site_fract_z
_atom_site_occupancy
Tc1 Tc 0.000 0.000 0.000 1
Ni1 Ni 0.103 0.364 0.000 1
Pt1 Pt 0.191 0.191 0.500 1
```

---

[4]
For Tc2Ni8Pt, a structure optimized by DFT (PBE) gives the computed powder XRD pattern in this record (Cu Kα (weighted mean of Kα1 and Kα2)).
Kinematic intensities with the Lorentz-polarization factor, no thermal factor.

The 10 most intense peaks (2θ from 10° to 90°), sorted by position:
29.37°, d = 3.041 Å, I = 6, (1 1 -1); 43.15°, d = 2.097 Å, I = 100, (1 1 2); 49.84°, d = 1.830 Å, I = 16, (6 0 1); 50.33°, d = 1.813 Å, I = 16, (4 0 -3); 50.56°, d = 1.805 Å, I = 15, (0 2 0); 73.71°, d = 1.285 Å, I = 15, (6 2 1); 74.13°, d = 1.279 Å, I = 9, (4 2 -3); 88.81°, d = 1.102 Å, I = 6, (7 1 3); 88.97°, d = 1.100 Å, I = 6, (11 1 0); 89.72°, d = 1.093 Å, I = 6, (9 1 -4)

Crystal structure
```
data_Tc2Ni8Pt
_symmetry_space_group_name_H-M 'C 1 2/m 1'
_symmetry_Int_Tables_number 12
_cell_length_a 13.141
_cell_length_b 3.610
_cell_length_c 5.742
_cell_angle_alpha 90.00
_cell_angle_beta 104.77
_cell_angle_gamma 90.00
loop_
_symmetry_equiv_pos_as_xyz
'x,y,z'
'-x,-y,-z'
'-x,y,-z'
'x,-y,z'
'x+1/2,y+1/2,z'
'-x+1/2,-y+1/2,-z'
'-x+1/2,y+1/2,-z'
'x+1/2,-y+1/2,z'
loop_
_atom_site_label
_atom_site_type_symbol
_atom_site_fract_x
_atom_site_fract_y
_atom_site_fract_z
_atom_site_occupancy
Tc1 Tc 0.227 0.000 0.133 1
Ni1 Ni 0.047 0.000 0.223 1
Ni2 Ni 0.089 0.500 0.957 1
Ni3 Ni 0.138 0.000 0.684 1
Ni4 Ni 0.183 0.500 0.412 1
Pt1 Pt 0.000 0.500 0.500 1
```

---

[5]
For TcNiPt3, a structure optimized by DFT (PBE) gives the computed powder XRD pattern in this record (Cu Kα (weighted mean of Kα1 and Kα2)).
Kinematic intensities with the Lorentz-polarization factor, no thermal factor.

The 10 most intense peaks (2θ from 10° to 90°), sorted by position:
23.81°, d = 3.736 Å, I = 24, (1 1 -1); 40.19°, d = 2.244 Å, I = 100, (1 5 -1); 40.51°, d = 2.227 Å, I = 99, (2 0 0); 46.80°, d = 1.941 Å, I = 33, (2 0 -2); 47.01°, d = 1.933 Å, I = 64, (1 5 1); 68.50°, d = 1.370 Å, I = 42, (3 5 -1); 69.10°, d = 1.359 Å, I = 11, (2 0 2); 82.40°, d = 1.170 Å, I = 25, (3 5 -3); 82.49°, d = 1.169 Å, I = 20, (4 0 -2); 83.08°, d = 1.163 Å, I = 25, (3 5 1)

Crystal structure
```
data_TcNiPt3
_symmetry_space_group_name_H-M 'C 1 2/c 1'
_symmetry_Int_Tables_number 15
_cell_length_a 4.741
_cell_length_b 13.747
_cell_length_c 4.739
_cell_angle_alpha 90.00
_cell_angle_beta 110.00
_cell_angle_gamma 90.00
loop_
_symmetry_equiv_pos_as_xyz
'x,y,z'
'-x,-y,-z'
'-x,y,-z+1/2'
'x,-y,z+1/2'
'x+1/2,y+1/2,z'
'-x+1/2,-y+1/2,-z'
'-x+1/2,y+1/2,-z+1/2'
'x+1/2,-y+1/2,z+1/2'
loop_
_atom_site_label
_atom_site_type_symbol
_atom_site_fract_x
_atom_site_fract_y
_atom_site_fract_z
_atom_site_occupancy
Tc1 Tc 0.000 0.150 0.250 1
Ni1 Ni 0.000 0.347 0.250 1
Pt1 Pt 0.000 0.052 0.750 1
Pt2 Pt 0.000 0.248 0.750 1
Pt3 Pt 0.000 0.445 0.750 1
```

---

[6]
For NiTe2Pt, a structure optimized by DFT (PBE) gives the computed powder XRD pattern in this record (Cu Kα (weighted mean of Kα1 and Kα2)).
Kinematic intensities with the Lorentz-polarization factor, no thermal factor.

The 10 most intense peaks (2θ from 10° to 90°), sorted by position:
14.81°, d = 5.981 Å, I = 68, (0 2 0); 17.92°, d = 4.949 Å, I = 23, (1 1 0); 27.36°, d = 3.259 Å, I = 100, (1 2 1); 27.75°, d = 3.215 Å, I = 24, (1 3 0); 35.62°, d = 2.521 Å, I = 48, (0 2 2); 36.30°, d = 2.475 Å, I = 44, (2 2 0); 44.50°, d = 2.036 Å, I = 53, (0 4 2); 45.07°, d = 2.011 Å, I = 48, (2 4 0); 46.74°, d = 1.943 Å, I = 50, (2 0 2); 67.30°, d = 1.391 Å, I = 34, (0 0 4)

Crystal structure
```
data_NiTe2Pt
_symmetry_space_group_name_H-M 'I b a m'
_symmetry_Int_Tables_number 72
_symmetry_space_group_name_Hall '-I 2 2c'
_cell_length_a 5.437
_cell_length_b 11.962
_cell_length_c 5.560
_cell_angle_alpha 90.00
_cell_angle_beta 90.00
_cell_angle_gamma 90.00
loop_
_atom_site_label
_atom_site_type_symbol
_atom_site_fract_x
_atom_site_fract_y
_atom_site_fract_z
_atom_site_occupancy
Ni1 Ni 0.000 0.000 0.250 1
Te1 Te 0.221 0.147 0.000 1
Pt1 Pt 0.000 0.500 0.250 1
```

---

[7]
For Ni5Te12Pt, a structure optimized by DFT (PBE) gives the computed powder XRD pattern in this record (Cu Kα (weighted mean of Kα1 and Kα2)).
Kinematic intensities with the Lorentz-polarization factor, no thermal factor.

The 10 most intense peaks (2θ from 10° to 90°), sorted by position:
16.03°, d = 5.530 Å, I = 32, (0 0 2); 29.69°, d = 3.009 Å, I = 100, (2 0 1); 32.38°, d = 2.765 Å, I = 14, (0 0 4); 32.56°, d = 2.750 Å, I = 53, (2 0 -3); 34.24°, d = 2.618 Å, I = 24, (2 0 2); 38.02°, d = 2.367 Å, I = 37, (1 3 3); 46.57°, d = 1.950 Å, I = 21, (0 6 0); 46.61°, d = 1.949 Å, I = 41, (3 3 -1); 46.83°, d = 1.940 Å, I = 20, (1 3 -5); 56.23°, d = 1.636 Å, I = 16, (2 6 1)

Crystal structure
```
data_Ni5Te12Pt
_symmetry_space_group_name_H-M 'C 1 2/m 1'
_symmetry_Int_Tables_number 12
_cell_length_a 6.749
_cell_length_b 11.702
_cell_length_c 11.293
_cell_angle_alpha 90.00
_cell_angle_beta 101.63
_cell_angle_gamma 90.00
loop_
_symmetry_equiv_pos_as_xyz
'x,y,z'
'-x,-y,-z'
'-x,y,-z'
'x,-y,z'
'x+1/2,y+1/2,z'
'-x+1/2,-y+1/2,-z'
'-x+1/2,y+1/2,-z'
'x+1/2,-y+1/2,z'
loop_
_atom_site_label
_atom_site_type_symbol
_atom_site_fract_x
_atom_site_fract_y
_atom_site_fract_z
_atom_site_occupancy
Ni1 Ni 0.000 0.000 0.000 1
Ni2 Ni 0.000 0.167 0.500 1
Ni3 Ni 0.000 0.333 0.000 1
Te1 Te 0.112 0.000 0.378 1
Te2 Te 0.132 0.327 0.378 1
Te3 Te 0.205 0.500 0.118 1
Te4 Te 0.206 0.166 0.118 1
Pt1 Pt 0.000 0.500 0.500 1
```

---

[8]
For Ni2Te6Pt, a structure optimized by DFT (PBE) gives the computed powder XRD pattern in this record (Cu Kα (weighted mean of Kα1 and Kα2)).
Kinematic intensities with the Lorentz-polarization factor, no thermal factor.

The 10 most intense peaks (2θ from 10° to 90°), sorted by position:
16.73°, d = 5.298 Å, I = 23, (2 0 -1); 30.70°, d = 2.912 Å, I = 45, (4 0 1); 31.24°, d = 2.863 Å, I = 100, (1 1 -2); 42.92°, d = 2.107 Å, I = 18, (5 1 -1); 43.40°, d = 2.085 Å, I = 17, (3 1 -3); 45.77°, d = 1.982 Å, I = 38, (3 1 3); 45.91°, d = 1.977 Å, I = 19, (0 2 0); 56.24°, d = 1.636 Å, I = 16, (4 2 1); 58.54°, d = 1.577 Å, I = 15, (7 1 -2); 75.77°, d = 1.255 Å, I = 15, (2 2 5)

Crystal structure
```
data_Ni2Te6Pt
_symmetry_space_group_name_H-M 'C 1 2/m 1'
_symmetry_Int_Tables_number 12
_cell_length_a 12.759
_cell_length_b 3.953
_cell_length_c 8.588
_cell_angle_alpha 90.00
_cell_angle_beta 94.25
_cell_angle_gamma 90.00
loop_
_symmetry_equiv_pos_as_xyz
'x,y,z'
'-x,-y,-z'
'-x,y,-z'
'x,-y,z'
'x+1/2,y+1/2,z'
'-x+1/2,-y+1/2,-z'
'-x+1/2,y+1/2,-z'
'x+1/2,-y+1/2,z'
loop_
_atom_site_label
_atom_site_type_symbol
_atom_site_fract_x
_atom_site_fract_y
_atom_site_fract_z
_atom_site_occupancy
Ni1 Ni 0.170 0.000 0.334 1
Te1 Te 0.022 0.000 0.789 1
Te2 Te 0.144 0.500 0.527 1
Te3 Te 0.198 0.500 0.139 1
Pt1 Pt 0.000 0.500 0.000 1
```

---

[9]
For ThNi2Pt2, a structure optimized by DFT (PBE) gives the computed powder XRD pattern in this record (Cu Kα (weighted mean of Kα1 and Kα2)).
Kinematic intensities with the Lorentz-polarization factor, no thermal factor.

The 10 most intense peaks (2θ from 10° to 90°), sorted by position:
27.03°, d = 3.299 Å, I = 65, (0 0 4); 32.05°, d = 2.792 Å, I = 30, (1 3 1); 35.46°, d = 2.531 Å, I = 50, (0 4 0); 36.14°, d = 2.485 Å, I = 100, (2 0 2); 37.54°, d = 2.396 Å, I = 40, (1 3 3); 39.06°, d = 2.306 Å, I = 15, (1 1 5); 45.15°, d = 2.008 Å, I = 23, (0 4 4); 46.87°, d = 1.939 Å, I = 33, (1 3 5); 51.53°, d = 1.773 Å, I = 54, (2 4 2); 53.91°, d = 1.701 Å, I = 18, (2 0 6)

Crystal structure
```
data_ThNi2Pt2
_symmetry_space_group_name_H-M 'F d d d'
_symmetry_Int_Tables_number 70
_cell_length_a 5.366
_cell_length_b 10.126
_cell_length_c 13.195
_cell_angle_alpha 90.00
_cell_angle_beta 90.00
_cell_angle_gamma 90.00
loop_
_symmetry_equiv_pos_as_xyz
'x,y,z'
'-x,-y,-z'
'-x+1/4,-y+1/4,z'
'x+1/4,y+1/4,-z'
'x,-y+1/4,-z+1/4'
'-x,y+1/4,z+1/4'
'-x+1/4,y,-z+1/4'
'x+1/4,-y,z+1/4'
'x,y+1/2,z+1/2'
'-x,-y+1/2,-z+1/2'
'-x+1/4,-y+3/4,z+1/2'
'x+1/4,y+3/4,-z+1/2'
'x,-y+3/4,-z+3/4'
'-x,y+3/4,z+3/4'
'-x+1/4,y+1/2,-z+3/4'
'x+1/4,-y+1/2,z+3/4'
'x+1/2,y,z+1/2'
'-x+1/2,-y,-z+1/2'
'-x+3/4,-y+1/4,z+1/2'
'x+3/4,y+1/4,-z+1/2'
'x+1/2,-y+1/4,-z+3/4'
'-x+1/2,y+1/4,z+3/4'
'-x+3/4,y,-z+3/4'
'x+3/4,-y,z+3/4'
'x+1/2,y+1/2,z'
'-x+1/2,-y+1/2,-z'
'-x+3/4,-y+3/4,z'
'x+3/4,y+3/4,-z'
'x+1/2,-y+3/4,-z+1/4'
'-x+1/2,y+3/4,z+1/4'
'-x+3/4,y+1/2,-z+1/4'
'x+3/4,-y+1/2,z+1/4'
loop_
_atom_site_label
_atom_site_type_symbol
_atom_site_fract_x
_atom_site_fract_y
_atom_site_fract_z
_atom_site_occupancy
Th1 Th 0.125 0.125 0.125 1
Ni1 Ni 0.125 0.125 0.534 1
Pt1 Pt 0.125 0.346 0.625 1
```

---

[10]
For ThNi8Pt3, a structure optimized by DFT (PBE) gives the computed powder XRD pattern in this record (Cu Kα (weighted mean of Kα1 and Kα2)).
Kinematic intensities with the Lorentz-polarization factor, no thermal factor.

The 10 most intense peaks (2θ from 10° to 90°), sorted by position:
21.08°, d = 4.215 Å, I = 19, (1 0 0); 31.02°, d = 2.883 Å, I = 19, (0 1 2); 36.94°, d = 2.433 Å, I = 72, (1 1 0); 40.37°, d = 2.234 Å, I = 100, (1 0 3); 43.68°, d = 2.072 Å, I = 93, (1 1 2); 44.49°, d = 2.036 Å, I = 49, (0 2 1); 68.88°, d = 1.363 Å, I = 41, (2 1 3); 71.24°, d = 1.324 Å, I = 21, (0 3 2); 75.12°, d = 1.265 Å, I = 24, (0 2 5); 78.64°, d = 1.217 Å, I = 21, (2 2 0)

Crystal structure
```
data_ThNi8Pt3
_symmetry_space_group_name_H-M 'P 3 m 1'
_symmetry_Int_Tables_number 156
_cell_length_a 4.8666
_cell_length_b 4.8666
_cell_length_c 7.9051
_cell_angle_alpha 90.00
_cell_angle_beta 90.00
_cell_angle_gamma 120.00
loop_
_symmetry_equiv_pos_as_xyz
'x,y,z'
'-y,x-y,z'
'-x+y,-x,z'
'-y,-x,z'
'-x+y,y,z'
'x,x-y,z'
loop_
_atom_site_label
_atom_site_type_symbol
_atom_site_fract_x
_atom_site_fract_y
_atom_site_fract_z
_atom_site_occupancy
Th1 Th 0.0000 0.0000 0.0000 1
Ni1 Ni 0.1657 0.3313 0.6731 1
Ni2 Ni 0.3333 0.6667 0.4299 1
Ni3 Ni 0.3333 0.6667 0.9279 1
Ni4 Ni 0.5026 0.0052 0.1950 1
Pt1 Pt 0.0000 0.0000 0.3837 1
Pt2 Pt 0.6667 0.3333 0.4940 1
Pt3 Pt 0.6667 0.3333 0.8551 1
```

---

[11]
For Th4NiPt, a structure optimized by DFT (PBE) gives the computed powder XRD pattern in this record (Cu Kα (weighted mean of Kα1 and Kα2)).
Kinematic intensities with the Lorentz-polarization factor, no thermal factor.

The 10 most intense peaks (2θ from 10° to 90°), sorted by position:
29.97°, d = 2.981 Å, I = 13, (0 0 2); 31.55°, d = 2.836 Å, I = 100, (2 1 1); 34.86°, d = 2.574 Å, I = 20, (1 1 2); 39.21°, d = 2.297 Å, I = 30, (2 0 2); 39.53°, d = 2.280 Å, I = 30, (3 1 0); 54.21°, d = 1.692 Å, I = 23, (2 1 3); 54.70°, d = 1.678 Å, I = 21, (4 1 1); 62.96°, d = 1.476 Å, I = 21, (3 3 2); 71.92°, d = 1.313 Å, I = 9, (4 1 3); 72.34°, d = 1.306 Å, I = 10, (5 2 1)

Crystal structure
```
data_Th4NiPt
_symmetry_space_group_name_H-M 'P 4/m c c'
_symmetry_Int_Tables_number 124
_symmetry_space_group_name_Hall '-P 4 2c'
_cell_length_a 7.209
_cell_length_b 7.209
_cell_length_c 5.963
_cell_angle_alpha 90.00
_cell_angle_beta 90.00
_cell_angle_gamma 90.00
loop_
_atom_site_label
_atom_site_type_symbol
_atom_site_fract_x
_atom_site_fract_y
_atom_site_fract_z
_atom_site_occupancy
Th1 Th 0.161 0.329 0.000 1
Ni1 Ni 0.000 0.000 0.250 1
Pt1 Pt 0.500 0.500 0.250 1
```

---

[12]
For Th2Ni4Pt, a structure optimized by DFT (PBE) gives the computed powder XRD pattern in this record (Cu Kα (weighted mean of Kα1 and Kα2)).
Kinematic intensities with the Lorentz-polarization factor, no thermal factor.

The 10 most intense peaks (2θ from 10° to 90°), sorted by position:
30.59°, d = 2.923 Å, I = 47, (2 2 0); 31.04°, d = 2.881 Å, I = 98, (0 2 2); 32.44°, d = 2.760 Å, I = 100, (2 0 2); 37.50°, d = 2.398 Å, I = 24, (3 1 1); 38.66°, d = 2.329 Å, I = 52, (2 2 2); 41.64°, d = 2.169 Å, I = 39, (0 4 0); 45.88°, d = 1.978 Å, I = 21, (4 0 0); 47.17°, d = 1.927 Å, I = 30, (0 0 4); 48.17°, d = 1.889 Å, I = 22, (3 3 1); 53.75°, d = 1.705 Å, I = 43, (2 4 2)

Crystal structure
```
data_Th2Ni4Pt
_symmetry_space_group_name_H-M 'F m m 2'
_symmetry_Int_Tables_number 42
_symmetry_space_group_name_Hall 'F 2 -2'
_cell_length_a 7.912
_cell_length_b 8.675
_cell_length_c 7.707
_cell_angle_alpha 90.00
_cell_angle_beta 90.00
_cell_angle_gamma 90.00
loop_
_atom_site_label
_atom_site_type_symbol
_atom_site_fract_x
_atom_site_fract_y
_atom_site_fract_z
_atom_site_occupancy
Th1 Th 0.250 0.250 0.000 1
Ni1 Ni 0.000 0.217 0.250 1
Ni2 Ni 0.173 0.000 0.250 1
Pt1 Pt 0.000 0.000 0.749 1
```

---

[13]
For Th2ZnNi2Pt5, a structure optimized by DFT (PBE) gives the computed powder XRD pattern in this record (Cu Kα (weighted mean of Kα1 and Kα2)).
Kinematic intensities with the Lorentz-polarization factor, no thermal factor.

The 10 most intense peaks (2θ from 10° to 90°), sorted by position:
29.29°, d = 3.049 Å, I = 16, (2 0 1); 30.87°, d = 2.897 Å, I = 54, (2 1 1); 35.20°, d = 2.549 Å, I = 22, (2 2 1); 37.85°, d = 2.377 Å, I = 100, (3 1 1); 39.98°, d = 2.255 Å, I = 61, (4 1 0); 41.19°, d = 2.192 Å, I = 20, (3 3 0); 41.55°, d = 2.174 Å, I = 41, (3 2 1); 44.89°, d = 2.019 Å, I = 35, (0 0 2); 61.66°, d = 1.504 Å, I = 35, (4 1 2); 64.34°, d = 1.448 Å, I = 15, (6 0 1)

Crystal structure
```
data_Th2ZnNi2Pt5
_symmetry_space_group_name_H-M 'P 4/m b m'
_symmetry_Int_Tables_number 127
_symmetry_space_group_name_Hall '-P 4 2ab'
_cell_length_a 9.298
_cell_length_b 9.298
_cell_length_c 4.038
_cell_angle_alpha 90.00
_cell_angle_beta 90.00
_cell_angle_gamma 90.00
loop_
_atom_site_label
_atom_site_type_symbol
_atom_site_fract_x
_atom_site_fract_y
_atom_site_fract_z
_atom_site_occupancy
Th1 Th 0.176 0.324 0.000 1
Zn1 Zn 0.000 0.000 0.000 1
Ni1 Ni 0.123 0.623 0.000 1
Pt1 Pt 0.000 0.500 0.500 1
Pt2 Pt 0.069 0.795 0.500 1
```